Record 1
# CaGe2SbO8
Calculated powder diffractogram, copper Kα. Input: a cell relaxed with PBE.
Neutral-atom scattering factors, no anomalous dispersion.

Most intense lines, 2θ = 5–70°, most intense first:
2θ 25.6, 3.484 Å, intensity 1000
2θ 34.0, 2.640 Å, intensity 637
2θ 50.7, 1.801 Å, intensity 595
2θ 64.0, 1.454 Å, intensity 188
2θ 36.5, 2.464 Å, intensity 170
2θ 52.5, 1.742 Å, intensity 162

Structure:
```
12
Lattice="-3.4841 3.4841 3.1270 3.4841 -3.4841 3.1270 3.4841 3.4841 -3.1270" Properties=species:S:1:pos:R:3 pbc="T T T"
Ca 0.0000 0.0000 0.0000
Ge 3.4841 0.0000 1.5635
Ge 0.0000 0.0000 3.1270
Sb 0.0000 3.4841 1.5635
O 2.2609 0.0000 0.2800
O 4.7073 0.0000 0.2800
O 3.4841 2.0992 -1.1176
O 3.4841 -1.2232 2.8470
O 0.0000 1.3849 2.0093
O 3.4841 1.2232 2.8470
O 2.0992 3.4841 1.1176
O 1.3849 0.0000 4.2446
```


Record 2
# MnAl2Au6
Calculated powder diffractogram, copper Kα. Input: a cell relaxed with PBE.
Neutral-atom scattering factors, no anomalous dispersion.

Most intense lines, 2θ = 5–70°, most intense first:
2θ 40.2, 2.245 Å, intensity 1000
2θ 40.0, 2.252 Å, intensity 963
2θ 28.6, 3.126 Å, intensity 910
2θ 38.4, 2.343 Å, intensity 630
2θ 38.1, 2.361 Å, intensity 574
2θ 55.2, 1.663 Å, intensity 394

Structure:
```
9
Lattice="4.5779 -2.3429 0.0000 4.5779 2.3429 0.0000 -4.5495 0.0000 7.0823" Properties=species:S:1:pos:R:3 pbc="T T T"
Mn 0.0000 0.0000 0.0000
Al 0.0970 0.0000 4.8218
Al 4.5093 0.0000 2.2605
Au -1.3374 0.0000 2.4646
Au 1.4717 0.0000 2.3517
Au -1.4335 0.0000 6.9814
Au 6.0398 0.0000 0.1009
Au 3.1346 0.0000 4.7306
Au 5.9437 0.0000 4.6177
```


Record 3
# La4Pm2Nd
Calculated powder diffractogram, copper Kα. Input: a cell relaxed with PBE.
Neutral-atom scattering factors, no anomalous dispersion.

Most intense lines, 2θ = 5–70°, most intense first:
2θ 32.6, 2.750 Å, intensity 1000
2θ 30.7, 2.914 Å, intensity 869
2θ 29.9, 2.988 Å, intensity 509
2θ 27.0, 3.308 Å, intensity 367
2θ 59.1, 1.564 Å, intensity 266
2θ 59.7, 1.548 Å, intensity 260

Structure:
```
14
Lattice="3.6541 0.0000 0.0000 0.0000 5.9765 0.0000 0.0000 0.0000 23.3590" Properties=species:S:1:pos:R:3 pbc="T T T"
La 0.0000 0.0000 1.9325
La 0.0000 0.0000 8.4746
La 0.0000 0.0000 14.8844
La 0.0000 0.0000 21.4266
La 1.8271 2.9883 3.2049
La 1.8271 2.9883 9.7470
La 1.8271 2.9883 13.6120
La 1.8271 2.9883 20.1542
Pm 0.0000 2.9883 6.4442
Pm 0.0000 2.9883 16.9149
Pm 1.8271 0.0000 5.2353
Pm 1.8271 0.0000 18.1237
Nd 0.0000 2.9883 0.0000
Nd 1.8271 0.0000 11.6795
```


Record 4
# Ho6InAs2S3
Calculated powder diffractogram, copper Kα. Input: a cell relaxed with PBE.
Neutral-atom scattering factors, no anomalous dispersion.

Most intense lines, 2θ = 5–70°, most intense first:
2θ 31.3, 2.861 Å, intensity 1000
2θ 44.7, 2.026 Å, intensity 245
2θ 44.8, 2.021 Å, intensity 240
2θ 26.8, 3.330 Å, intensity 190
2θ 27.2, 3.277 Å, intensity 188
2θ 56.1, 1.639 Å, intensity 126

Structure:
```
12
Lattice="8.8327 -1.9971 0.0000 8.8327 1.9971 0.0000 -1.8687 0.0000 7.9636" Properties=species:S:1:pos:R:3 pbc="T T T"
Ho -0.4068 0.0000 1.8427
Ho 5.0259 0.0000 3.2958
Ho 4.1453 0.0000 7.3067
Ho 11.6514 0.0000 0.6569
Ho 10.7709 0.0000 4.6678
Ho 16.2035 0.0000 6.1209
In 7.8984 0.0000 3.9818
As 1.3851 0.0000 6.6425
As 14.4117 0.0000 1.3211
S 2.3576 0.0000 2.6394
S 8.8327 0.0000 0.0000
S 13.4391 0.0000 5.3242
```


Record 5
# Ba2LiGeAu6
Calculated powder diffractogram, copper Kα. Input: a cell relaxed with PBE.
Neutral-atom scattering factors, no anomalous dispersion.

Most intense lines, 2θ = 5–70°, most intense first:
2θ 31.4, 2.850 Å, intensity 1000
2θ 28.9, 3.094 Å, intensity 901
2θ 35.8, 2.508 Å, intensity 608
2θ 31.2, 2.865 Å, intensity 518
2θ 14.7, 6.011 Å, intensity 518
2θ 36.0, 2.494 Å, intensity 315

Structure:
```
10
Lattice="6.9235 0.0000 0.0000 -3.4348 6.0423 0.0000 -3.4548 -2.0143 6.0107" Properties=species:S:1:pos:R:3 pbc="T T T"
Ba -1.7167 1.0077 2.0880
Ba 1.7506 3.0203 3.9227
Li 1.7344 -1.0071 3.0053
Ge 1.7444 3.0212 0.0000
Au -3.1378 4.2100 1.0345
Au -0.2862 4.2236 1.0119
Au 1.7336 0.6587 1.0447
Au -1.6997 3.3694 4.9660
Au 0.3201 -0.1955 4.9988
Au 3.1718 -0.1820 4.9762
```


Record 6
# BaAcTlPt
Calculated powder diffractogram, copper Kα. Input: a cell relaxed with PBE.
Neutral-atom scattering factors, no anomalous dispersion.

Most intense lines, 2θ = 5–70°, most intense first:
2θ 31.7, 2.826 Å, intensity 1000
2θ 56.4, 1.632 Å, intensity 398
2θ 45.4, 1.998 Å, intensity 187
2θ 66.1, 1.413 Å, intensity 124
2θ 19.2, 4.615 Å, intensity 30
2θ 37.3, 2.410 Å, intensity 19

Structure:
```
16
Lattice="7.9935 0.0000 0.0000 0.0000 7.9935 0.0000 0.0000 0.0000 7.9935" Properties=species:S:1:pos:R:3 pbc="T T T"
Ba 0.0000 0.0000 0.0000
Ba 0.0000 3.9967 3.9967
Ba 3.9967 0.0000 3.9967
Ba 3.9967 3.9967 0.0000
Ac 0.0000 0.0000 3.9967
Ac 0.0000 3.9967 0.0000
Ac 3.9967 0.0000 0.0000
Ac 3.9967 3.9967 3.9967
Tl 1.9984 1.9984 5.9951
Tl 1.9984 5.9951 1.9984
Tl 5.9951 1.9984 1.9984
Tl 5.9951 5.9951 5.9951
Pt 1.9984 1.9984 1.9984
Pt 1.9984 5.9951 5.9951
Pt 5.9951 1.9984 5.9951
Pt 5.9951 5.9951 1.9984
```